Entry 1:
Starting from DFT lattice parameters and positions (PBE), the powder X-ray diffraction pattern of TiCoN2 was computed for Cu Kα X-rays.
No peak broadening, texture or thermal motion is included.

Top 10 peaks for 10° ≤ 2θ ≤ 90°, by intensity:
| 2θ (°) | d (Å) | Rel. int. |
| --- | --- | --- |
| 40.2 | 2.244 | 100 |
| 45.8 | 1.980 | 31 |
| 63.1 | 1.473 | 28 |
| 38.2 | 2.355 | 19 |
| 70.4 | 1.337 | 18 |
| 52.9 | 1.731 | 15 |
| 76.2 | 1.249 | 14 |
| 77.5 | 1.232 | 12 |
| 36.5 | 2.463 | 12 |
| 61.1 | 1.516 | 9 |

Cell and atoms:
```
TiCoN2
1.0
2.947 0.000 0.000
-1.473 2.552 0.000
0.000 0.000 9.420
Ti Co N
2 2 4
Cartesian
0.000 1.701 2.355 Ti
1.473 0.851 7.065 Ti
0.000 0.000 0.000 Co
0.000 0.000 4.710 Co
0.000 1.701 5.810 N
0.000 1.701 8.321 N
1.473 0.851 1.100 N
1.473 0.851 3.611 N
```

=====

Entry 2:
Starting from DFT lattice parameters and positions (PBE), the powder X-ray diffraction pattern of V4Co2N was computed for Cu Kα X-rays.
No peak broadening, texture or thermal motion is included.

Top 10 peaks for 10° ≤ 2θ ≤ 90°, by intensity:
| 2θ (°) | d (Å) | Rel. int. |
| --- | --- | --- |
| 43.5 | 2.082 | 100 |
| 40.9 | 2.208 | 30 |
| 74.4 | 1.275 | 27 |
| 47.6 | 1.912 | 23 |
| 50.6 | 1.803 | 12 |
| 14.2 | 6.245 | 6 |
| 81.6 | 1.180 | 6 |
| 76.2 | 1.249 | 6 |
| 61.2 | 1.515 | 5 |
| 56.4 | 1.631 | 4 |

Cell and atoms:
```
V4Co2N
1.0
0.000 5.408 5.408
5.408 0.000 5.408
5.408 5.408 0.000
V Co N
16 8 4
Cartesian
0.000 0.000 0.000 V
2.704 2.704 0.000 V
2.704 0.000 2.704 V
4.056 4.056 2.071 V
4.056 2.071 4.056 V
6.041 4.056 4.056 V
6.760 6.760 4.775 V
6.760 4.775 6.760 V
8.745 6.760 6.760 V
0.000 2.704 2.704 V
2.071 4.056 4.056 V
4.056 6.041 4.056 V
4.056 4.056 6.041 V
4.775 6.760 6.760 V
6.760 8.745 6.760 V
6.760 6.760 8.745 V
8.549 4.971 4.971 Co
2.267 2.267 2.267 Co
5.845 5.845 2.267 Co
5.845 2.267 5.845 Co
4.971 8.549 4.971 Co
4.971 4.971 8.549 Co
8.549 8.549 8.549 Co
2.267 5.845 5.845 Co
5.408 2.704 2.704 N
2.704 5.408 2.704 N
2.704 2.704 5.408 N
5.408 5.408 5.408 N
```

=====

Entry 3:
Starting from DFT lattice parameters and positions (PBE), the powder X-ray diffraction pattern of VCo2N3 was computed for Cu Kα X-rays.
No peak broadening, texture or thermal motion is included.

Top 10 peaks for 10° ≤ 2θ ≤ 90°, by intensity:
| 2θ (°) | d (Å) | Rel. int. |
| --- | --- | --- |
| 38.8 | 2.323 | 100 |
| 34.4 | 2.607 | 48 |
| 35.1 | 2.557 | 38 |
| 65.4 | 1.427 | 31 |
| 61.6 | 1.505 | 28 |
| 72.9 | 1.297 | 21 |
| 50.0 | 1.825 | 19 |
| 75.2 | 1.263 | 12 |
| 72.5 | 1.303 | 4 |
| 83.2 | 1.161 | 4 |

Cell and atoms:
```
VCo2N3
1.0
4.515 -2.607 0.000
4.515 2.607 0.000
0.000 0.000 5.114
V Co N
2 4 6
Cartesian
4.515 1.679 2.557 V
4.515 -1.679 0.000 V
3.091 0.905 4.925 Co
5.938 0.905 4.925 Co
3.091 -0.905 2.368 Co
5.938 -0.905 2.368 Co
4.515 1.760 0.664 N
2.923 0.824 3.067 N
2.923 -0.824 0.510 N
6.106 0.824 3.067 N
6.106 -0.824 0.510 N
4.515 -1.760 3.221 N
```

=====

Entry 4:
Starting from DFT lattice parameters and positions (PBE), the powder X-ray diffraction pattern of VCo4N4 was computed for Cu Kα X-rays.
No peak broadening, texture or thermal motion is included.

Top 10 peaks for 10° ≤ 2θ ≤ 90°, by intensity:
| 2θ (°) | d (Å) | Rel. int. |
| --- | --- | --- |
| 38.9 | 2.314 | 100 |
| 39.5 | 2.284 | 97 |
| 45.2 | 2.006 | 94 |
| 43.6 | 2.074 | 91 |
| 38.3 | 2.352 | 89 |
| 46.5 | 1.951 | 78 |
| 38.6 | 2.330 | 77 |
| 66.7 | 1.402 | 51 |
| 64.0 | 1.455 | 29 |
| 67.0 | 1.397 | 27 |

Cell and atoms:
```
VCo4N4
1.0
4.865 0.000 0.000
1.687 4.635 0.000
1.036 1.913 7.206
V Co N
2 8 8
Cartesian
1.948 2.182 1.970 V
5.639 4.366 5.236 V
2.898 4.623 0.708 Co
2.950 4.404 3.267 Co
3.045 4.228 6.461 Co
2.163 1.873 5.141 Co
5.425 4.674 2.065 Co
4.542 2.320 0.745 Co
4.637 2.144 3.939 Co
4.689 1.925 6.498 Co
1.466 3.089 6.493 N
2.361 5.349 4.954 N
2.836 2.563 3.588 N
2.846 1.173 0.642 N
4.741 5.375 6.564 N
4.751 3.985 3.618 N
5.226 1.198 2.252 N
6.122 3.459 0.713 N
```

=====

Entry 5:
Starting from DFT lattice parameters and positions (PBE), the powder X-ray diffraction pattern of Co6WN4 was computed for Cu Kα X-rays.
No peak broadening, texture or thermal motion is included.

Top 10 peaks for 10° ≤ 2θ ≤ 90°, by intensity:
| 2θ (°) | d (Å) | Rel. int. |
| --- | --- | --- |
| 35.3 | 2.543 | 100 |
| 39.2 | 2.299 | 65 |
| 39.6 | 2.277 | 58 |
| 45.3 | 2.003 | 55 |
| 21.8 | 4.081 | 38 |
| 56.9 | 1.618 | 29 |
| 53.0 | 1.728 | 24 |
| 56.6 | 1.625 | 24 |
| 81.9 | 1.177 | 22 |
| 71.3 | 1.323 | 20 |

Cell and atoms:
```
Co6WN4
1.0
6.502 0.000 0.000
0.000 6.502 0.000
0.000 0.000 5.242
Co W N
12 2 8
Cartesian
0.272 3.523 1.310 Co
0.272 6.230 1.310 Co
1.625 1.625 0.191 Co
1.625 1.625 2.812 Co
2.979 3.523 1.310 Co
2.979 6.230 1.310 Co
3.523 0.272 3.931 Co
3.523 2.979 3.931 Co
4.876 4.876 2.430 Co
4.876 4.876 5.051 Co
6.230 0.272 3.931 Co
6.230 2.979 3.931 Co
1.625 4.876 3.931 W
4.876 1.625 1.310 W
0.189 4.876 2.587 N
1.625 3.440 0.034 N
1.625 6.312 0.034 N
3.061 4.876 2.587 N
3.440 1.625 2.655 N
4.876 0.189 5.208 N
4.876 3.061 5.208 N
6.312 1.625 2.655 N
```

=====

Entry 6:
Starting from DFT lattice parameters and positions (PBE), the powder X-ray diffraction pattern of CoWN3 was computed for Cu Kα X-rays.
No peak broadening, texture or thermal motion is included.

Top 10 peaks for 10° ≤ 2θ ≤ 90°, by intensity:
| 2θ (°) | d (Å) | Rel. int. |
| --- | --- | --- |
| 12.9 | 6.844 | 100 |
| 20.8 | 4.273 | 66 |
| 14.4 | 6.137 | 63 |
| 24.2 | 3.680 | 51 |
| 35.9 | 2.501 | 37 |
| 46.7 | 1.946 | 31 |
| 16.8 | 5.275 | 27 |
| 46.9 | 1.939 | 27 |
| 36.8 | 2.442 | 24 |
| 38.2 | 2.359 | 23 |

Cell and atoms:
```
CoWN3
1.0
5.628 0.000 0.000
1.422 7.335 0.000
2.726 2.854 6.844
Co W N
4 4 12
Cartesian
1.401 2.720 0.687 Co
5.545 7.593 6.198 Co
4.231 2.597 0.646 Co
8.374 7.470 6.157 Co
2.791 7.023 0.526 W
4.245 4.844 2.205 W
5.530 5.346 4.639 W
6.985 3.166 6.317 W
4.085 8.918 6.356 N
2.848 6.350 2.183 N
4.169 6.321 5.777 N
2.857 3.784 1.075 N
4.237 4.036 3.815 N
2.725 1.309 0.229 N
7.051 8.881 6.615 N
5.539 6.153 3.029 N
6.919 6.406 5.769 N
5.606 3.868 1.067 N
6.928 3.839 4.661 N
5.690 1.272 0.488 N
```

=====

Entry 7:
Starting from DFT lattice parameters and positions (PBE), the powder X-ray diffraction pattern of ZnCoN2 was computed for Cu Kα X-rays.
No peak broadening, texture or thermal motion is included.

Top 10 peaks for 10° ≤ 2θ ≤ 90°, by intensity:
| 2θ (°) | d (Å) | Rel. int. |
| --- | --- | --- |
| 37.4 | 2.404 | 100 |
| 32.9 | 2.722 | 45 |
| 35.0 | 2.562 | 37 |
| 58.7 | 1.572 | 28 |
| 70.3 | 1.340 | 24 |
| 48.8 | 1.866 | 20 |
| 64.4 | 1.447 | 20 |
| 71.7 | 1.316 | 14 |
| 64.4 | 1.447 | 9 |
| 79.8 | 1.202 | 4 |

Cell and atoms:
```
ZnCoN2
1.0
5.444 0.000 0.000
0.000 6.289 0.000
0.000 0.000 5.125
Zn Co N
4 4 8
Cartesian
0.483 0.764 0.000 Zn
2.239 3.909 2.562 Zn
3.205 2.380 0.000 Zn
4.961 5.525 2.562 Zn
0.394 3.958 5.114 Co
2.328 0.813 2.552 Co
3.116 5.476 5.114 Co
5.049 2.331 2.552 Co
0.348 3.828 1.797 N
0.583 0.892 2.049 N
2.138 4.036 4.611 N
2.374 0.684 4.359 N
3.070 5.605 1.797 N
3.305 2.253 2.049 N
4.860 5.397 4.611 N
5.095 2.461 4.359 N
```

=====

Entry 8:
Starting from DFT lattice parameters and positions (PBE), the powder X-ray diffraction pattern of ZnCo2N2 was computed for Cu Kα X-rays.
No peak broadening, texture or thermal motion is included.

Top 10 peaks for 10° ≤ 2θ ≤ 90°, by intensity:
| 2θ (°) | d (Å) | Rel. int. |
| --- | --- | --- |
| 44.8 | 2.024 | 100 |
| 36.9 | 2.439 | 67 |
| 31.5 | 2.839 | 46 |
| 71.9 | 1.313 | 44 |
| 53.1 | 1.725 | 37 |
| 17.7 | 4.998 | 30 |
| 25.8 | 3.449 | 17 |
| 41.2 | 2.192 | 17 |
| 63.1 | 1.474 | 11 |
| 87.8 | 1.112 | 10 |

Cell and atoms:
```
ZnCo2N2
1.0
3.449 0.000 0.000
0.000 3.449 0.000
0.000 0.000 4.998
Zn Co N
1 2 2
Cartesian
0.000 0.000 0.000 Zn
1.725 1.725 1.274 Co
1.725 1.725 3.724 Co
0.000 1.725 3.667 N
1.725 0.000 1.331 N
```

=====

Entry 9:
Starting from DFT lattice parameters and positions (PBE), the powder X-ray diffraction pattern of ZrCo4N4 was computed for Cu Kα X-rays.
No peak broadening, texture or thermal motion is included.

Top 10 peaks for 10° ≤ 2θ ≤ 90°, by intensity:
| 2θ (°) | d (Å) | Rel. int. |
| --- | --- | --- |
| 39.4 | 2.289 | 100 |
| 38.5 | 2.338 | 68 |
| 46.5 | 1.952 | 61 |
| 34.9 | 2.568 | 50 |
| 48.0 | 1.896 | 42 |
| 44.8 | 2.024 | 42 |
| 36.9 | 2.437 | 41 |
| 37.3 | 2.411 | 32 |
| 45.2 | 2.005 | 31 |
| 60.3 | 1.535 | 28 |

Cell and atoms:
```
ZrCo4N4
1.0
4.846 0.000 0.000
1.662 4.912 0.000
2.350 1.490 7.671
Zr Co N
2 8 8
Cartesian
1.608 1.997 1.554 Zr
7.251 4.404 6.117 Zr
2.403 4.352 3.096 Co
2.623 4.375 0.492 Co
4.001 2.005 5.844 Co
4.860 4.495 4.520 Co
3.999 1.907 3.151 Co
4.857 4.397 1.827 Co
6.236 2.027 7.179 Co
6.456 2.050 4.575 Co
3.162 2.603 7.377 N
3.211 3.129 4.480 N
2.413 0.751 3.209 N
3.333 3.284 1.780 N
5.525 3.117 5.891 N
6.446 5.650 4.462 N
5.647 3.272 3.191 N
5.697 3.799 0.294 N
```

=====

Entry 10:
Starting from DFT lattice parameters and positions (PBE), the powder X-ray diffraction pattern of ZrCo2N2 was computed for Cu Kα X-rays.
No peak broadening, texture or thermal motion is included.

Top 10 peaks for 10° ≤ 2θ ≤ 90°, by intensity:
| 2θ (°) | d (Å) | Rel. int. |
| --- | --- | --- |
| 36.2 | 2.481 | 100 |
| 44.6 | 2.033 | 73 |
| 59.0 | 1.565 | 32 |
| 76.6 | 1.244 | 20 |
| 44.2 | 2.049 | 19 |
| 70.4 | 1.337 | 15 |
| 71.2 | 1.324 | 13 |
| 76.9 | 1.240 | 13 |
| 87.0 | 1.120 | 8 |
| 14.4 | 6.147 | 5 |

Cell and atoms:
```
ZrCo2N2
1.0
3.131 0.000 0.000
-1.565 2.711 0.000
0.000 0.000 6.147
Zr Co N
1 2 2
Cartesian
0.000 0.000 0.000 Zr
0.000 1.807 4.006 Co
1.565 0.904 2.141 Co
0.000 1.807 1.403 N
1.565 0.904 4.743 N
```

=====

Entry 11:
Starting from DFT lattice parameters and positions (PBE), the powder X-ray diffraction pattern of Zr4Co2N was computed for Cu Kα X-rays.
No peak broadening, texture or thermal motion is included.

Top 10 peaks for 10° ≤ 2θ ≤ 90°, by intensity:
| 2θ (°) | d (Å) | Rel. int. |
| --- | --- | --- |
| 38.3 | 2.348 | 100 |
| 36.1 | 2.490 | 40 |
| 64.9 | 1.438 | 35 |
| 41.9 | 2.157 | 31 |
| 32.0 | 2.799 | 21 |
| 77.9 | 1.226 | 17 |
| 66.4 | 1.409 | 11 |
| 62.3 | 1.490 | 6 |
| 49.6 | 1.839 | 6 |
| 58.1 | 1.588 | 5 |

Cell and atoms:
```
Zr4Co2N
1.0
0.000 6.100 6.100
6.100 0.000 6.100
6.100 6.100 0.000
Zr Co N
16 8 4
Cartesian
0.000 0.000 0.000 Zr
3.050 3.050 0.000 Zr
3.050 0.000 3.050 Zr
4.575 4.575 2.318 Zr
4.575 2.318 4.575 Zr
6.831 4.575 4.575 Zr
7.624 7.624 5.368 Zr
7.624 5.368 7.624 Zr
9.881 7.624 7.624 Zr
0.000 3.050 3.050 Zr
2.318 4.575 4.575 Zr
4.575 6.831 4.575 Zr
4.575 4.575 6.831 Zr
5.368 7.624 7.624 Zr
7.624 9.881 7.624 Zr
7.624 7.624 9.881 Zr
9.605 5.644 5.644 Co
2.595 2.595 2.595 Co
6.555 6.555 2.595 Co
6.555 2.595 6.555 Co
5.644 9.605 5.644 Co
5.644 5.644 9.605 Co
9.605 9.605 9.605 Co
2.595 6.555 6.555 Co
6.100 3.050 3.050 N
3.050 6.100 3.050 N
3.050 3.050 6.100 N
6.100 6.100 6.100 N
```

=====

Entry 12:
Starting from DFT lattice parameters and positions (PBE), the powder X-ray diffraction pattern of Na3Co was computed for Cu Kα X-rays.
No peak broadening, texture or thermal motion is included.

Top 10 peaks for 10° ≤ 2θ ≤ 90°, by intensity:
| 2θ (°) | d (Å) | Rel. int. |
| --- | --- | --- |
| 34.6 | 2.592 | 100 |
| 62.0 | 1.496 | 32 |
| 21.0 | 4.232 | 19 |
| 49.8 | 1.833 | 17 |
| 83.4 | 1.159 | 12 |
| 24.3 | 3.665 | 10 |
| 40.8 | 2.210 | 10 |
| 73.0 | 1.296 | 9 |
| 54.6 | 1.682 | 4 |
| 56.1 | 1.639 | 4 |

Cell and atoms:
```
Na3Co
1.0
7.331 0.000 0.000
0.000 7.331 0.000
0.000 0.000 7.331
Na Co
12 4
Cartesian
0.000 0.000 0.000 Na
0.000 3.665 3.665 Na
1.833 1.833 1.833 Na
1.833 1.833 5.498 Na
1.833 5.498 1.833 Na
1.833 5.498 5.498 Na
3.665 0.000 3.665 Na
3.665 3.665 0.000 Na
5.498 1.833 1.833 Na
5.498 1.833 5.498 Na
5.498 5.498 1.833 Na
5.498 5.498 5.498 Na
0.000 0.000 3.665 Co
0.000 3.665 0.000 Co
3.665 0.000 0.000 Co
3.665 3.665 3.665 Co
```